The following is a theoretical X-ray powder pattern of Cs2LiSbBr6. It was derived from DFT lattice parameters and positions (GGA-PBE), using Cu Kα X-rays.
Intensities are scaled so that the largest is 100.

Most intense lines, 2θ from 15° to 90°, low angle first:
- 22.33°, 3.981 Å, rel. 31
- 27.44°, 3.250 Å, rel. 100
- 31.79°, 2.815 Å, rel. 100
- 45.58°, 1.990 Å, rel. 72
- 54.03°, 1.697 Å, rel. 44
- 56.64°, 1.625 Å, rel. 25
- 75.53°, 1.259 Å, rel. 32
- 84.27°, 1.149 Å, rel. 24

Cell and atoms:
Cell: 11.2588 11.2588 11.2588 Å, 90.00 90.00 90.00°
Space group Fm-3m (No. 225)
Symmetry-distinct sites (fractional):
Cs 0.2500 0.2500 0.2500 [8 per cell]
Li 0.0000 0.0000 0.0000 [4 per cell]
Sb 0.0000 0.0000 0.5000 [4 per cell]
Br 0.0000 0.0000 0.2489 [24 per cell]